[1]
Starting from DFT lattice parameters and positions (PBE), the XRD peak list of ZrBeNO was simulated for a wavelength of 1.5418 Å.
Kinematic intensities with the Lorentz-polarization factor, no thermal factor.

```
ZrBeNO
1.0
4.652 0.000 0.000
0.000 7.429 0.000
0.000 0.000 4.529
Zr Be N O
4 4 4 4
direct
0.004 0.143 0.000
0.496 0.143 0.500
0.504 0.857 0.000
0.996 0.857 0.500
0.089 0.589 0.930
0.411 0.589 0.430
0.589 0.411 0.930
0.911 0.411 0.430
0.003 0.175 0.500
0.497 0.175 0.000
0.503 0.825 0.500
0.997 0.825 0.000
0.095 0.569 0.570
0.405 0.569 0.070
0.595 0.431 0.570
0.905 0.431 0.070
```

Most intense lines, 5 to 70 degrees two-theta, most intense first:
| 2θ/deg | I_rel |
| --- | --- |
| 30.05 | 100 |
| 11.91 | 98 |
| 36.78 | 81 |
| 39.81 | 42 |
| 38.71 | 41 |
| 36.28 | 38 |


[2]
Starting from DFT lattice parameters and positions (PBE), the XRD peak list of YAg2W was simulated for a wavelength of 1.5418 Å.
Kinematic intensities with the Lorentz-polarization factor, no thermal factor.

```
YAg2W
1.0
0.000 3.420 3.420
3.420 0.000 3.420
3.420 3.420 0.000
Y Ag W
1 2 1
direct
0.000 0.000 0.000
0.250 0.250 0.250
0.500 0.500 0.500
0.750 0.750 0.750
```

Most intense lines, 5 to 70 degrees two-theta, most intense first:
| 2θ/deg | I_rel |
| --- | --- |
| 37.18 | 100 |
| 67.04 | 34 |
| 53.60 | 17 |
| 22.52 | 5 |
| 26.06 | 4 |
| 43.91 | 3 |


[3]
Starting from DFT lattice parameters and positions (PBE), the XRD peak list of GdCuBi2 was simulated for a wavelength of 1.5418 Å.
Kinematic intensities with the Lorentz-polarization factor, no thermal factor.

```
GdCuBi2
1.0
4.561 0.000 0.000
0.000 4.561 0.000
0.000 0.000 9.700
Gd Cu Bi
2 2 4
direct
0.250 0.250 0.234
0.750 0.750 0.766
0.250 0.750 0.000
0.750 0.250 0.000
0.250 0.250 0.834
0.250 0.750 0.500
0.750 0.250 0.500
0.750 0.750 0.166
```

Most intense lines, 5 to 70 degrees two-theta, most intense first:
| 2θ/deg | I_rel |
| --- | --- |
| 33.36 | 100 |
| 39.51 | 49 |
| 29.18 | 33 |
| 67.79 | 26 |
| 27.59 | 24 |
| 48.87 | 19 |